No. 1
This entry pairs a crystal structure of Ba3B6O11F2 with its computed powder diffraction line list. Radiation: copper Kα. Structure: a GGA-PBE-relaxed structure.

Main lines, by intensity (2θ = 5–70°):
Position (°2θ)  d_spacing  Rel. int.  (hkl)
20.68  4.296  100  1 0 -2
44.32  2.044  44  2 3 1
24.80  3.591  41  1 2 0
27.83  3.206  41  0 2 2
42.12  2.145  33  2 0 -4
29.76  3.002  28  0 1 3
29.38  3.040  26  1 2 -2
27.40  3.256  26  2 0 0
30.38  2.942  22  1 1 -3
44.70  2.027  21  2 1 3

```
data_Ba3B6O11F2
_chemical_formula_sum 'Ba6 B12 O22 F4'
_space_group_name_H-M_alt 'P 1 21 1'
_space_group_IT_number 4
_cell_length_a 6.6429
_cell_length_b 8.6087
_cell_length_c 9.8048
_cell_angle_alpha 90.00
_cell_angle_beta 101.43
_cell_angle_gamma 90.00
loop_
_space_group_symop_operation_xyz
'x,y,z'
'-x,y+1/2,-z'
loop_
_atom_site_label
_atom_site_fract_x
_atom_site_fract_y
_atom_site_fract_z
Ba1 0.0062 0.0000 0.2393
Ba2 0.4385 0.3537 0.4589
Ba3 0.4376 0.8463 0.9638
B1 0.0045 0.6800 0.4521
B2 0.0780 0.3723 0.1359
B3 0.0824 0.1467 0.9336
B4 0.0917 0.9045 0.6348
B5 0.2879 0.6175 0.2026
B6 0.3094 0.1399 0.7339
O1 0.0057 0.3241 0.2649
O2 0.0534 0.5244 0.4482
O3 0.0587 0.9777 0.9584
O4 0.1157 0.7076 0.1584
O5 0.1212 0.2271 0.0689
O6 0.1400 0.7800 0.5345
O7 0.1773 0.2384 0.6242
O8 0.2617 0.1777 0.8687
O9 0.2824 0.4584 0.1872
O10 0.2877 0.9760 0.6954
O11 0.4699 0.6921 0.2626
F1 0.3579 0.5639 0.8878
F2 0.3693 0.0676 0.3846
```

No. 2
This entry pairs a crystal structure of DyTlPd with its computed powder diffraction line list. Radiation: copper Kα. Structure: a GGA-PBE-relaxed structure.

Main lines, by intensity (2θ = 5–70°):
Position (°2θ)  d_spacing  Rel. int.  (hkl)
32.82  2.729  100  1 1 1
35.43  2.534  59  2 0 1
34.77  2.580  47  2 1 0
39.61  2.275  41  3 0 0
64.39  1.447  31  3 2 1
48.10  1.892  29  0 0 2
42.41  2.131  21  2 1 1
64.03  1.454  20  3 0 2
60.73  1.525  19  2 1 2
54.18  1.693  9  3 1 1

```
data_DyTlPd
_chemical_formula_sum 'Dy3 Tl3 Pd3'
_space_group_name_H-M_alt 'P -6 2 m'
_space_group_IT_number 189
_space_group_name_Hall 'P -6 -2'
_cell_length_a 7.8823
_cell_length_b 7.8823
_cell_length_c 3.7814
_cell_angle_alpha 90.00
_cell_angle_beta 90.00
_cell_angle_gamma 120.00
loop_
_atom_site_label
_atom_site_fract_x
_atom_site_fract_y
_atom_site_fract_z
Dy1 0.0000 0.4008 0.0000
Tl1 0.0000 0.7315 0.5000
Pd1 0.0000 0.0000 0.0000
Pd2 0.3333 0.6667 0.5000
```

No. 3
This entry pairs a crystal structure of La2MgSe4 with its computed powder diffraction line list. Radiation: copper Kα. Structure: a GGA-PBE-relaxed structure.

Main lines, by intensity (2θ = 5–70°):
Position (°2θ)  d_spacing  Rel. int.  (hkl)
22.94  3.877  100  1 2 0
39.61  2.275  85  3 -2 0
19.77  4.491  79  0 0 3
44.47  2.037  48  1 -2 6
39.33  2.291  44  0 4 -1
22.55  3.943  34  1 2 -1
44.29  2.045  31  2 0 -6
28.63  3.118  30  1 -2 3
24.10  3.693  24  -1 2 1
44.66  2.029  22  1 2 5

```
data_La2MgSe4
_chemical_formula_sum 'La8 Mg4 Se16'
_space_group_name_H-M_alt 'P -1'
_space_group_IT_number 2
_cell_length_a 7.8653
_cell_length_b 9.1632
_cell_length_c 13.7569
_cell_angle_alpha 99.89
_cell_angle_beta 96.11
_cell_angle_gamma 90.01
loop_
_space_group_symop_operation_xyz
'x,y,z'
'-x,-y,-z'
loop_
_atom_site_label
_atom_site_fract_x
_atom_site_fract_y
_atom_site_fract_z
La1 0.1315 0.4427 0.3074
La2 0.1352 0.9609 0.3114
La3 0.2558 0.1312 0.0004
La4 0.3660 0.3009 0.6906
Mg1 0.2512 0.6193 0.9923
Mg2 0.3636 0.7989 0.7019
Se1 0.0892 0.4134 0.0984
Se2 0.1137 0.8894 0.1015
Se3 0.1998 0.5513 0.6238
Se4 0.2034 0.0131 0.6287
Se5 0.3058 0.7196 0.3823
Se6 0.3466 0.2198 0.3744
Se7 0.3852 0.8375 0.8916
Se8 0.4133 0.3613 0.9003
```

No. 4
This entry pairs a crystal structure of NbWN3 with its computed powder diffraction line list. Radiation: copper Kα. Structure: a GGA-PBE-relaxed structure.

Main lines, by intensity (2θ = 5–70°):
Position (°2θ)  d_spacing  Rel. int.  (hkl)
12.88  6.871  100  0 0 1
24.49  3.635  83  1 1 0
36.06  2.491  50  1 1 2
31.49  2.841  39  2 0 2
27.71  3.220  39  1 1 -1
34.82  2.576  37  3 1 0
52.07  1.756  33  5 1 1
42.97  2.105  33  2 0 -3
46.78  1.942  32  0 2 0
37.15  2.420  32  3 1 -1

```
data_NbWN3
_chemical_formula_sum 'Nb4 W4 N12'
_space_group_name_H-M_alt 'C 1 2/m 1'
_space_group_IT_number 12
_cell_length_a 10.3242
_cell_length_b 3.8837
_cell_length_c 6.8722
_cell_angle_alpha 90.00
_cell_angle_beta 90.83
_cell_angle_gamma 90.00
loop_
_space_group_symop_operation_xyz
'x,y,z'
'-x,-y,-z'
'-x,y,-z'
'x,-y,z'
'x+1/2,y+1/2,z'
'-x+1/2,-y+1/2,-z'
'-x+1/2,y+1/2,-z'
'x+1/2,-y+1/2,z'
loop_
_atom_site_label
_atom_site_fract_x
_atom_site_fract_y
_atom_site_fract_z
Nb1 0.2194 0.0000 0.3305
W1 0.1191 0.0000 0.9244
N1 0.0486 0.0000 0.2121
N2 0.1763 0.5000 0.9369
N3 0.2089 0.0000 0.6376
```

No. 5
This entry pairs a crystal structure of CeRu2 with its computed powder diffraction line list. Radiation: copper Kα. Structure: a GGA-PBE-relaxed structure.

Main lines, by intensity (2θ = 5–70°):
Position (°2θ)  d_spacing  Rel. int.  (hkl)
39.43  2.285  100  3 1 1
33.44  2.680  38  2 2 0
63.82  1.459  32  5 1 1
41.26  2.188  31  2 2 2
59.78  1.547  14  4 2 2
48.02  1.895  2  4 0 0

a = 7.5788 Å, b = 7.5788 Å, c = 7.5788 Å
α = 90.00°, β = 90.00°, γ = 90.00°
Space group Fd-3m (No. 227, origin choice 2)
Inequivalent atoms, fractional coordinates:
Ce: 0.1250 0.1250 0.1250 x8
Ru: 0.0000 0.0000 0.5000 x16

No. 6
This entry pairs a crystal structure of Sr2LiO12 with its computed powder diffraction line list. Radiation: copper Kα. Structure: a GGA-PBE-relaxed structure.

Main lines, by intensity (2θ = 5–70°):
Position (°2θ)  d_spacing  Rel. int.  (hkl)
19.99  4.441  100  1 0 1
18.77  4.729  92  0 1 1
30.13  2.966  88  0 1 -2
22.27  3.992  79  0 0 2
16.90  5.246  73  0 1 0
24.28  3.666  64  1 1 0
44.08  2.055  62  2 -1 0
37.94  2.371  61  2 0 1
38.92  2.314  59  1 2 2
34.31  2.613  59  0 2 1

```
data_Sr2LiO12
_chemical_formula_sum 'Sr2 Li1 O12'
_space_group_name_H-M_alt 'P 1'
_space_group_IT_number 1
_cell_length_a 4.8040
_cell_length_b 5.3568
_cell_length_c 8.2907
_cell_angle_alpha 79.76
_cell_angle_beta 77.02
_cell_angle_gamma 82.30
loop_
_space_group_symop_operation_xyz
'x,y,z'
loop_
_atom_site_label
_atom_site_fract_x
_atom_site_fract_y
_atom_site_fract_z
Sr1 0.0000 0.0000 0.0000
Sr2 0.3718 0.8178 0.4656
Li1 0.9064 0.3611 0.4115
O1 0.1823 0.6464 0.7920
O2 0.1888 0.1477 0.6752
O3 0.2031 0.3405 0.5497
O4 0.2113 0.4455 0.9000
O5 0.4591 0.9860 0.1227
O6 0.5269 0.8506 0.9933
O7 0.5968 0.4352 0.2682
O8 0.6653 0.4384 0.1089
O9 0.6783 0.2851 0.7629
O10 0.7047 0.4685 0.6418
O11 0.8690 0.9797 0.4244
O12 0.9321 0.7778 0.3224
```

No. 7
This entry pairs a crystal structure of Hg3Sb with its computed powder diffraction line list. Radiation: copper Kα. Structure: a GGA-PBE-relaxed structure.

Main lines, by intensity (2θ = 5–70°):
Position (°2θ)  d_spacing  Rel. int.  (hkl)
33.71  2.659  100  2 2 0
60.30  1.535  38  4 2 2
48.42  1.880  18  4 0 0
20.46  4.342  3  1 1 1
39.76  2.267  2  3 1 1
23.66  3.760  1  2 0 0
53.09  1.725  1  3 3 1
54.58  1.681  1  4 2 0
64.38  1.447  1  5 1 1

```
data_Hg3Sb
_chemical_formula_sum 'Hg12 Sb4'
_space_group_name_H-M_alt 'F m -3 m'
_space_group_IT_number 225
_space_group_name_Hall '-F 4 2 3'
_cell_length_a 7.5198
_cell_length_b 7.5198
_cell_length_c 7.5198
_cell_angle_alpha 90.00
_cell_angle_beta 90.00
_cell_angle_gamma 90.00
loop_
_atom_site_label
_atom_site_fract_x
_atom_site_fract_y
_atom_site_fract_z
Hg1 0.0000 0.0000 0.0000
Hg2 0.2500 0.2500 0.2500
Sb1 0.0000 0.0000 0.5000
```